# Ca2YAsW2O12
Theoretical PXRD pattern, a wavelength of 1.5418 Å. Input: a structure optimized by DFT (PBE+U).
Peak positions follow from Bragg's law for the DFT cell and can differ from measured ones.

a = 5.201 Å, b = 5.201 Å, c = 34.723 Å
α = 90.00°, β = 90.00°, γ = 90.00°
Space group I4_1/a (No. 88, origin choice 2)
Inequivalent atoms, fractional coordinates:
Ca  0.000  0.250  0.288 x8
Y  0.000  0.250  0.625 x4
As  0.000  0.250  0.125 x4
W  0.000  0.250  0.449 x8
O  0.132  0.009  0.769 x16
O  0.170  0.461  0.571 x16
O  0.187  0.461  0.152 x16

Main lines, most intense first (2θ = 15–90°):
2theta, I/Imax, index
28.77, 100, 1 1 6
18.70, 29, 1 0 3
58.33, 24, 3 1 6
46.98, 22, 2 0 12
34.49, 18, 2 0 0
21.34, 17, 1 0 5